(1)
Starting from the PBE geometry in OQMD, the X-ray powder pattern of MgZnB2 was computed for Cu Ka.
Lines closer than 0.1° are merged.

The 10 most intense peaks (2θ = 10–90°), by intensity:
d (Å)	2theta	Rel. int.	index
2.034	44.54	100	2 2 0
3.322	26.84	90	1 1 1
1.735	52.77	43	3 1 1
1.174	82.06	30	4 2 2
2.877	31.09	23	2 0 0
1.320	71.48	16	3 3 1
1.438	64.82	15	4 0 0
1.107	88.26	12	5 1 1
1.286	73.63	7	4 2 0
1.661	55.31	6	2 2 2

Atomic structure:
a = 5.753 Å, b = 5.753 Å, c = 5.753 Å
α = 90.00°, β = 90.00°, γ = 90.00°
Space group F-43m (No. 216)
Asymmetric unit:
Mg 0.000 0.000 0.000 [4 per cell]
Zn 0.250 0.250 0.250 [4 per cell]
B 0.000 0.000 0.500 [4 per cell]
B 0.250 0.250 0.750 [4 per cell]

(2)
Starting from the PBE geometry in OQMD, the X-ray powder pattern of YErBPb was computed for Cu Ka.
Lines closer than 0.1° are merged.

The 12 most intense peaks (2θ = 10–90°), by intensity:
d (Å)	2theta	Rel. int.	index
2.763	32.40	100	1 0 3
1.532	60.41	38	1 1 6
3.187	28.00	24	1 0 0
1.840	49.54	21	1 1 0
2.772	32.29	21	0 0 6
1.599	57.66	18	1 0 9
2.092	43.26	17	1 0 6
1.177	81.82	15	2 1 3
8.316	10.64	8	0 0 2
1.107	88.27	8	1 1 12
1.207	79.40	7	2 0 9
1.105	88.50	5	2 1 6

Atomic structure:
a = 3.6802 Å, b = 3.6802 Å, c = 16.6323 Å
α = 90.00°, β = 90.00°, γ = 120.00°
Space group P-6m2 (No. 187)
Asymmetric unit:
Y 0.0000 0.0000 0.1608 [2 per cell]
Er 0.6667 0.3333 0.3395 [2 per cell]
B 0.3333 0.6667 0.2515 [2 per cell]
Pb 0.0000 0.0000 0.5000 [1 per cell]
Pb 0.6667 0.3333 0.0000 [1 per cell]

(3)
Starting from the PBE geometry in OQMD, the X-ray powder pattern of Pr2S3 was computed for Cu Ka.
Lines closer than 0.1° are merged.

The 12 most intense peaks (2θ = 10–90°), by intensity:
d (Å)	2theta	Rel. int.	index
3.500	25.45	100	1 0 4
2.617	34.27	43	2 1 2
3.226	27.65	30	0 1 3
2.370	37.97	26	1 1 5
3.673	24.23	22	2 0 1
2.123	42.59	21	3 1 1
2.453	36.63	21	2 1 3
2.044	44.31	21	0 2 0
1.907	47.69	19	1 0 8
3.777	23.55	17	2 0 0
2.496	35.98	16	0 1 5
1.764	51.82	13	1 2 4

Atomic structure:
a = 7.554 Å, b = 4.088 Å, c = 15.756 Å
α = 90.00°, β = 90.00°, γ = 90.00°
Space group Pnma (No. 62)
Asymmetric unit:
Pr 0.143 0.250 0.204 [4 per cell]
Pr 0.235 0.750 0.456 [4 per cell]
S 0.009 0.250 0.391 [4 per cell]
S 0.125 0.750 0.068 [4 per cell]
S 0.147 0.250 0.781 [4 per cell]

(4)
Starting from the PBE geometry in OQMD, the X-ray powder pattern of B4W3N8 was computed for Cu Ka.
Lines closer than 0.1° are merged.

The 12 most intense peaks (2θ = 10–90°), by intensity:
d (Å)	2theta	Rel. int.	index
6.539	13.54	100	0 0 9
3.923	22.66	63	0 0 15
2.355	38.22	49	0 1 5
2.225	40.54	43	1 0 10
2.086	43.37	30	0 1 14
2.400	37.47	29	1 0 1
1.861	48.93	27	0 1 20
2.372	37.93	25	1 0 4
1.899	47.91	24	1 0 19
1.388	67.50	17	1 1 0
1.308	72.22	17	1 1 15
1.551	59.63	17	0 1 29

Atomic structure:
a = 2.7752 Å, b = 2.7752 Å, c = 58.8492 Å
α = 90.00°, β = 90.00°, γ = 120.00°
Space group R3m (No. 160, hexagonal axes)
Asymmetric unit:
B 0.0000 0.0000 0.0000 [3 per cell]
B 0.0000 0.0000 0.1673 [3 per cell]
B 0.0000 0.0000 0.3689 [3 per cell]
B 0.0000 0.0000 0.7985 [3 per cell]
W 0.0000 0.0000 0.0837 [3 per cell]
W 0.0000 0.0000 0.2886 [3 per cell]
W 0.0000 0.0000 0.8786 [3 per cell]
N 0.0000 0.0000 0.0266 [3 per cell]
N 0.0000 0.0000 0.1407 [3 per cell]
N 0.0000 0.0000 0.2310 [3 per cell]
N 0.0000 0.0000 0.3246 [3 per cell]
N 0.0000 0.0000 0.3944 [3 per cell]
N 0.0000 0.0000 0.7729 [3 per cell]
N 0.0000 0.0000 0.8426 [3 per cell]
N 0.0000 0.0000 0.9361 [3 per cell]

(5)
Starting from the PBE geometry in OQMD, the X-ray powder pattern of Mo2PbS4 was computed for Cu Ka.
Lines closer than 0.1° are merged.

The 12 most intense peaks (2θ = 10–90°), by intensity:
d (Å)	2theta	Rel. int.	index
2.323	38.76	100	2 2 2
3.760	23.66	92	0 2 2
5.161	17.18	74	1 1 0
3.711	23.98	65	1 1 2
2.636	34.01	37	1 3 2
2.670	33.57	32	0 0 4
2.648	33.85	31	0 4 0
1.586	58.16	30	2 4 4
2.371	37.95	23	1 1 4
1.981	45.81	20	2 0 4
1.972	46.02	19	2 4 0
2.955	30.25	16	2 0 0

Atomic structure:
a = 5.910 Å, b = 10.593 Å, c = 10.678 Å
α = 90.00°, β = 90.00°, γ = 90.00°
Space group Cccm (No. 66)
Asymmetric unit:
Mo 0.001 0.242 0.000 [8 per cell]
Pb 0.000 0.000 0.250 [4 per cell]
S 0.232 0.416 0.000 [8 per cell]
S 0.250 0.250 0.335 [8 per cell]

(6)
Starting from the PBE geometry in OQMD, the X-ray powder pattern of Cs2AgSbCl6 was computed for Cu Ka.
Lines closer than 0.1° are merged.

The 12 most intense peaks (2θ = 10–90°), by intensity:
d (Å)	2theta	Rel. int.	index
3.797	23.43	100	1 1 1
2.685	33.37	58	4 0 0
2.192	41.17	46	4 2 0
1.899	47.91	39	2 2 2
1.435	64.98	24	5 3 1
1.698	54.00	21	5 1 1
1.201	79.88	17	6 2 2
3.101	28.79	14	2 2 0
1.550	59.64	13	4 4 0
1.266	75.04	12	3 3 3
1.096	89.37	11	8 4 0
1.343	70.09	6	8 0 0

Atomic structure:
a = 13.148 Å, b = 7.598 Å, c = 7.592 Å
α = 90.00°, β = 125.22°, γ = 90.00°
Space group C2/m (No. 12)
Asymmetric unit:
Cs 0.250 0.000 0.250 [4 per cell]
Ag 0.000 0.000 0.500 [2 per cell]
Sb 0.000 0.500 0.000 [2 per cell]
Cl 0.001 0.253 0.753 [8 per cell]
Cl 0.248 0.500 0.248 [4 per cell]